1.
Simulated XRD peak list
Compound: SmGdSi2Ni2
Radiation: Cu Kα
Structure: a cell relaxed with PBE
Lines closer than 0.1° are merged.

Structure:
a = 4.0975 Å, b = 4.0975 Å, c = 6.5612 Å
α = 90.00°, β = 90.00°, γ = 90.00°
Space group P4mm (No. 99)
One atom of each set of equivalent atoms:
Sm 0.0000 0.0000 0.0000 (multiplicity 1)
Gd 0.5000 0.5000 0.3660 (multiplicity 1)
Si 0.0000 0.0000 0.4914 (multiplicity 1)
Si 0.5000 0.5000 0.8645 (multiplicity 1)
Ni 0.0000 0.5000 0.6786 (multiplicity 2)

Top 10 peaks for 2θ = 15–90°, sorted by position:
2theta, I (rel.)
25.63, 100
30.86, 33
33.82, 54
35.04, 64
41.59, 77
44.21, 56
51.80, 30
57.62, 30
60.83, 23
78.21, 23



2.
Simulated XRD peak list
Compound: SrGdSi4Ni2
Radiation: Cu Kα
Structure: a cell relaxed with PBE
Lines closer than 0.1° are merged.

Structure:
a = 4.0112 Å, b = 4.1269 Å, c = 16.8038 Å
α = 90.00°, β = 90.00°, γ = 90.00°
Space group Amm2 (No. 38)
One atom of each set of equivalent atoms:
Sr 0.0000 0.0000 0.0000 (multiplicity 2)
Gd 0.5000 0.0000 0.7849 (multiplicity 2)
Si 0.0000 0.0000 0.3508 (multiplicity 2)
Si 0.0000 0.0000 0.6470 (multiplicity 2)
Si 0.5000 0.0000 0.1467 (multiplicity 2)
Si 0.5000 0.0000 0.4317 (multiplicity 2)
Ni 0.0000 0.0000 0.2165 (multiplicity 2)
Ni 0.5000 0.0000 0.5760 (multiplicity 2)

Top 10 peaks for 2θ = 15–90°, sorted by position:
2theta, I (rel.)
21.15, 27
30.82, 31
31.56, 89
34.41, 83
35.07, 100
39.23, 45
43.88, 39
45.21, 37
58.03, 36
72.92, 27



3.
Simulated XRD peak list
Compound: SmGdNi2Sn
Radiation: Cu Kα
Structure: a cell relaxed with PBE
Lines closer than 0.1° are merged.

Structure:
a = 3.6824 Å, b = 4.0340 Å, c = 13.9489 Å
α = 90.00°, β = 90.00°, γ = 90.00°
Space group Amm2 (No. 38)
One atom of each set of equivalent atoms:
Sm 0.0000 0.0000 0.0000 (multiplicity 2)
Gd 0.0000 0.0000 0.2724 (multiplicity 2)
Ni 0.5000 0.0000 0.4375 (multiplicity 2)
Ni 0.5000 0.0000 0.8337 (multiplicity 2)
Sn 0.5000 0.0000 0.6370 (multiplicity 2)

Top 10 peaks for 2θ = 15–90°, sorted by position:
2theta, I (rel.)
29.31, 39
33.57, 100
35.45, 66
38.34, 31
39.26, 36
44.94, 26
49.51, 20
57.32, 17
58.53, 47
64.94, 16



4.
Simulated XRD peak list
Compound: SmGdTlNi2
Radiation: Cu Kα
Structure: a cell relaxed with PBE
Lines closer than 0.1° are merged.

Structure:
a = 3.7338 Å, b = 3.9426 Å, c = 14.5495 Å
α = 90.00°, β = 90.00°, γ = 90.00°
Space group Amm2 (No. 38)
One atom of each set of equivalent atoms:
Sm 0.0000 0.0000 0.0000 (multiplicity 2)
Gd 0.0000 0.0000 0.7229 (multiplicity 2)
Tl 0.5000 0.0000 0.3605 (multiplicity 2)
Ni 0.5000 0.0000 0.1611 (multiplicity 2)
Ni 0.5000 0.0000 0.5648 (multiplicity 2)

Top 10 peaks for 2θ = 15–90°, sorted by position:
2theta, I (rel.)
29.19, 49
33.63, 100
34.42, 71
38.45, 35
46.04, 22
48.78, 19
55.73, 19
58.73, 30
63.76, 16
69.32, 23



5.
Simulated XRD peak list
Compound: GdTmNi2
Radiation: Cu Kα
Structure: a cell relaxed with PBE
Lines closer than 0.1° are merged.

Structure:
a = 4.1788 Å, b = 7.0143 Å, c = 5.3908 Å
α = 90.00°, β = 90.00°, γ = 90.00°
Space group Pmn2_1 (No. 31)
One atom of each set of equivalent atoms:
Gd 0.0000 0.0712 0.0000 (multiplicity 2)
Tm 0.0000 0.5688 0.2338 (multiplicity 2)
Ni 0.0000 0.2209 0.4971 (multiplicity 2)
Ni 0.0000 0.7044 0.7419 (multiplicity 2)

Top 10 peaks for 2θ = 15–90°, sorted by position:
2theta, I (rel.)
27.00, 38
29.90, 86
30.41, 27
33.35, 100
35.69, 91
37.40, 87
41.91, 78
42.13, 43
43.30, 53
57.33, 67



6.
Simulated XRD peak list
Compound: GdYNi2
Radiation: Cu Kα
Structure: a cell relaxed with PBE
Lines closer than 0.1° are merged.

Structure:
a = 5.4356 Å, b = 4.1922 Å, c = 7.0702 Å
α = 90.00°, β = 90.02°, γ = 90.00°
Space group P2_1/m (No. 11)
One atom of each set of equivalent atoms:
Gd 0.1303 0.2500 0.3201 (multiplicity 2)
Y 0.3698 0.2500 0.8204 (multiplicity 2)
Ni 0.1246 0.7500 0.0378 (multiplicity 2)
Ni 0.3753 0.7500 0.5379 (multiplicity 2)

Top 10 peaks for 2θ = 15–90°, sorted by position:
2theta, I (rel.)
29.73, 74
33.15, 100
35.38, 86
37.15, 93
41.61, 91
41.78, 46
43.16, 54
54.60, 24
56.99, 42
61.63, 46



7.
Simulated XRD peak list
Compound: Gd4Zn3Ni2
Radiation: Cu Kα
Structure: a cell relaxed with PBE
Lines closer than 0.1° are merged.

Structure:
a = 7.1169 Å, b = 3.5963 Å, c = 7.7166 Å
α = 90.00°, β = 105.47°, γ = 90.00°
Space group P2/m (No. 10)
One atom of each set of equivalent atoms:
Gd 0.0765 0.0000 0.2165 (multiplicity 2)
Gd 0.3906 0.0000 0.7013 (multiplicity 2)
Zn 0.0000 0.5000 0.5000 (multiplicity 1)
Zn 0.3074 0.5000 0.0182 (multiplicity 2)
Ni 0.3399 0.5000 0.3919 (multiplicity 2)

Top 10 peaks for 2θ = 15–90°, sorted by position:
2theta, I (rel.)
25.54, 20
31.51, 33
31.91, 21
34.70, 100
35.86, 87
38.73, 36
39.43, 25
40.47, 28
41.92, 20
50.77, 25



8.
Simulated XRD peak list
Compound: Gd4O5
Radiation: Cu Kα
Structure: a cell relaxed with PBE
Lines closer than 0.1° are merged.

Structure:
a = 3.9497 Å, b = 3.9497 Å, c = 9.3945 Å
α = 90.00°, β = 90.00°, γ = 90.00°
Space group P4/mmm (No. 123)
One atom of each set of equivalent atoms:
Gd 0.0000 0.0000 0.0000 (multiplicity 1)
Gd 0.0000 0.0000 0.5000 (multiplicity 1)
Gd 0.5000 0.5000 0.2439 (multiplicity 2)
O 0.0000 0.5000 0.1453 (multiplicity 4)
O 0.5000 0.5000 0.5000 (multiplicity 1)

Top 10 peaks for 2θ = 15–90°, sorted by position:
2theta, I (rel.)
29.55, 100
32.05, 36
38.32, 11
45.95, 20
50.79, 29
55.59, 35
61.33, 12
63.96, 11
82.29, 11
88.71, 12



9.
Simulated XRD peak list
Compound: PrGdSb2Os2O2
Radiation: Cu Kα
Structure: a cell relaxed with PBE
Lines closer than 0.1° are merged.

Structure:
a = 4.2184 Å, b = 4.2184 Å, c = 8.5788 Å
α = 90.00°, β = 90.00°, γ = 90.00°
Space group P4mm (No. 99)
One atom of each set of equivalent atoms:
Pr 0.0000 0.0000 0.0000 (multiplicity 1)
Gd 0.5000 0.5000 0.2496 (multiplicity 1)
Sb 0.0000 0.0000 0.4443 (multiplicity 1)
Sb 0.5000 0.5000 0.8020 (multiplicity 1)
Os 0.0000 0.5000 0.6231 (multiplicity 2)
O 0.0000 0.5000 0.1340 (multiplicity 2)

Top 10 peaks for 2θ = 15–90°, sorted by position:
2theta, I (rel.)
29.70, 100
31.76, 70
36.70, 75
42.88, 69
43.86, 20
52.56, 49
53.03, 39
62.25, 23
70.79, 20
85.76, 31



10.
Simulated XRD peak list
Compound: TbGdSb2Os2O2
Radiation: Cu Kα
Structure: a cell relaxed with PBE
Lines closer than 0.1° are merged.

Structure:
a = 4.1739 Å, b = 4.1739 Å, c = 8.4625 Å
α = 90.00°, β = 90.00°, γ = 90.00°
Space group P4mm (No. 99)
One atom of each set of equivalent atoms:
Tb 0.0000 0.0000 0.0000 (multiplicity 1)
Gd 0.5000 0.5000 0.2400 (multiplicity 1)
Sb 0.0000 0.0000 0.4354 (multiplicity 1)
Sb 0.5000 0.5000 0.8043 (multiplicity 1)
Os 0.0000 0.5000 0.6198 (multiplicity 2)
O 0.0000 0.5000 0.1184 (multiplicity 2)

Top 10 peaks for 2θ = 15–90°, sorted by position:
2theta, I (rel.)
30.07, 100
32.12, 77
37.14, 72
38.52, 22
43.36, 71
53.28, 45
53.67, 39
62.99, 23
71.81, 23
87.01, 23



11.
Simulated XRD peak list
Compound: Gd2P2O7
Radiation: Cu Kα
Structure: a cell relaxed with PBE
Lines closer than 0.1° are merged.

Structure:
a = 9.9269 Å, b = 9.9269 Å, c = 9.9269 Å
α = 90.00°, β = 90.00°, γ = 90.00°
Space group Fd-3m (No. 227, origin choice 2)
One atom of each set of equivalent atoms:
Gd 0.0000 0.0000 0.0000 (multiplicity 16)
P 0.0000 0.0000 0.5000 (multiplicity 16)
O 0.0715 0.3750 0.8750 (multiplicity 48)
O 0.1250 0.1250 0.1250 (multiplicity 8)

Top 10 peaks for 2θ = 15–90°, sorted by position:
2theta, I (rel.)
15.46, 45
29.85, 28
31.21, 100
36.20, 29
39.57, 32
47.60, 16
52.12, 46
62.01, 41
85.22, 17
87.99, 15



12.
Simulated XRD peak list
Compound: TbGdP2Pt2O2
Radiation: Cu Kα
Structure: a cell relaxed with PBE
Lines closer than 0.1° are merged.

Structure:
a = 4.0941 Å, b = 4.0941 Å, c = 7.7921 Å
α = 90.00°, β = 90.00°, γ = 90.00°
Space group P4mm (No. 99)
One atom of each set of equivalent atoms:
Tb 0.0000 0.0000 0.0000 (multiplicity 1)
Gd 0.5000 0.5000 0.7317 (multiplicity 1)
P 0.0000 0.0000 0.5294 (multiplicity 1)
P 0.5000 0.5000 0.2030 (multiplicity 1)
Pt 0.0000 0.5000 0.3660 (multiplicity 2)
O 0.0000 0.5000 0.8676 (multiplicity 2)

Top 10 peaks for 2θ = 15–90°, sorted by position:
2theta, I (rel.)
22.83, 29
24.56, 24
31.70, 54
33.01, 100
34.53, 24
38.75, 54
44.25, 50
55.45, 22
56.98, 43
57.31, 23



13.
Simulated XRD peak list
Compound: GdRePO
Radiation: Cu Kα
Structure: a cell relaxed with PBE
Lines closer than 0.1° are merged.

Structure:
a = 3.9292 Å, b = 3.9292 Å, c = 8.3800 Å
α = 90.00°, β = 90.00°, γ = 90.00°
Space group P4/nmm (No. 129, origin choice 2)
One atom of each set of equivalent atoms:
Gd 0.2500 0.2500 0.1348 (multiplicity 2)
Re 0.2500 0.7500 0.5000 (multiplicity 2)
P 0.2500 0.2500 0.6672 (multiplicity 2)
O 0.2500 0.7500 0.0000 (multiplicity 2)

Top 10 peaks for 2θ = 15–90°, sorted by position:
2theta, I (rel.)
21.20, 35
25.03, 26
31.21, 64
32.04, 31
33.99, 100
38.89, 59
46.21, 49
54.89, 52
56.81, 23
57.34, 25



14.
Simulated XRD peak list
Compound: GdPdSO
Radiation: Cu Kα
Structure: a cell relaxed with PBE
Lines closer than 0.1° are merged.

Structure:
a = 6.6950 Å, b = 11.1536 Å, c = 7.4449 Å
α = 90.00°, β = 90.00°, γ = 90.00°
Space group Pbca (No. 61)
One atom of each set of equivalent atoms:
Gd 0.0733 0.2372 0.1391 (multiplicity 8)
Pd 0.2136 0.5088 0.5057 (multiplicity 8)
S 0.0040 0.0052 0.7186 (multiplicity 8)
O 0.2459 0.2464 0.3926 (multiplicity 8)

Top 10 peaks for 2θ = 15–90°, sorted by position:
2theta, I (rel.)
27.83, 42
28.58, 100
31.16, 42
32.10, 92
36.09, 56
36.71, 48
39.64, 28
49.06, 31
50.41, 32
51.78, 42